1.
# SrV4Bi6O20
Theoretical powder X-ray diffraction pattern, Cu Kα X-rays. Input: the GGA+U geometry in Alexandria.

Largest 12 diffraction maxima, sorted by position, 10° ≤ 2θ ≤ 80°:
2θ (°), I (rel.), h k l
12.45, 29, 0 1 0
13.45, 29, 1 0 0
14.10, 27, 1 -1 0
25.05, 28, 0 2 0
26.19, 100, -2 1 1
26.42, 41, 1 0 2
26.76, 68, 1 -2 2
26.99, 61, 0 1 2
30.82, 30, 2 0 1
31.28, 97, 1 2 -1
34.59, 26, 1 -3 0
40.14, 24, 3 -1 1

Crystal structure
Cell lengths 7.240, 8.108, 9.420 Å; angles 106.05, 94.48, 111.76 degrees
Space group P-1 (No. 2)
One atom of each set of equivalent atoms:
Sr: 0.000 0.000 0.000 [1 per cell]
V: 0.048 0.272 0.754 [2 per cell]
V: 0.347 0.392 0.258 [2 per cell]
Bi: 0.201 0.715 0.673 [2 per cell]
Bi: 0.345 0.128 0.518 [2 per cell]
Bi: 0.438 0.806 0.088 [2 per cell]
O: 0.071 0.809 0.434 [2 per cell]
O: 0.107 0.249 0.275 [2 per cell]
O: 0.126 0.825 0.141 [2 per cell]
O: 0.160 0.518 0.821 [2 per cell]
O: 0.230 0.178 0.754 [2 per cell]
O: 0.330 0.911 0.899 [2 per cell]
O: 0.353 0.295 0.072 [2 per cell]
O: 0.381 0.629 0.304 [2 per cell]
O: 0.458 0.977 0.638 [2 per cell]
O: 0.470 0.632 0.627 [2 per cell]


2.
# Sr3V3BiO12
Theoretical powder X-ray diffraction pattern, Cu Kα X-rays. Input: the GGA+U geometry in Alexandria.

Largest 12 diffraction maxima, sorted by position, 10° ≤ 2θ ≤ 80°:
2θ (°), I (rel.), h k l
10.31, 24, 0 2 0
17.02, 25, 0 2 1
20.94, 24, 2 2 -1
22.55, 15, 2 2 0
28.84, 100, 1 3 -2
29.07, 53, 2 0 1
30.98, 88, 3 3 -1
31.28, 38, 0 6 0
42.45, 23, 4 0 -3
43.21, 35, 2 6 1
49.99, 24, 1 3 3
54.06, 16, 5 3 0

Crystal structure
Cell lengths 10.033, 17.160, 7.409 Å; angles 90.00, 117.72, 90.00 degrees
Space group C2/m (No. 12)
One atom of each set of equivalent atoms:
Sr: 0.194 0.000 0.123 [4 per cell]
Sr: 0.209 0.344 0.095 [8 per cell]
V: 0.089 0.168 0.286 [8 per cell]
V: 0.103 0.500 0.289 [4 per cell]
Bi: 0.000 0.316 0.500 [4 per cell]
O: 0.000 0.412 0.261 [8 per cell]
O: 0.024 0.252 0.821 [8 per cell]
O: 0.030 0.090 0.819 [8 per cell]
O: 0.157 0.185 0.545 [8 per cell]
O: 0.179 0.500 0.119 [4 per cell]
O: 0.243 0.159 0.231 [8 per cell]
O: 0.243 0.500 0.527 [4 per cell]